# Mg14TiBi
Computed powder XRD pattern, Cu Ka. Input: a cell relaxed with GGA-PBE.
No peak broadening, texture or thermal motion is included.

Cell and atoms:
Cell lengths 10.358, 6.319, 11.134 Å; angles 90.00, 90.00, 90.00 degrees
Space group Amm2 (No. 38)
Unique sites:
Mg: 0.000 0.000 0.000 x2
Mg: 0.000 0.000 0.500 x2
Mg: 0.000 0.250 0.250 x4
Mg: 0.246 0.000 0.169 x4
Mg: 0.249 0.244 0.416 x8
Mg: 0.252 0.000 0.664 x4
Mg: 0.500 0.248 0.749 x4
Ti: 0.500 0.000 0.499 x2
Bi: 0.500 0.000 0.001 x2

Most intense lines, 10 to 90 degrees two-theta, in order of rising 2θ:
d_spacing, Position (°2θ), Rel. int.
5.567, 15.9, 27
5.495, 16.1, 29
5.179, 17.1, 23
4.904, 18.1, 41
4.854, 18.3, 46
3.769, 23.6, 28
2.748, 32.6, 31
2.589, 34.6, 39
2.452, 36.7, 52
2.427, 37.0, 100